(1)
Diffraction record for Cu2SnTe2Br. The powder X-ray diffraction pattern is calculated, not measured: it uses a cell relaxed with PBE and Cu Kα X-rays.

Peak list (6 most intense, 10 to 90 degrees two-theta, sorted by position)
| d (Å) | Rel. int. |
| --- | --- |
| 7.955 | 32 |
| 7.078 | 50 |
| 3.231 | 100 |
| 2.807 | 25 |
| 2.426 | 21 |
| 2.123 | 21 |

Structure:
a b c (Å): 8.4209 4.9809 8.9896
angles (deg): 90.00 109.14 90.00
Space group P2_1/m (No. 11)
Symmetry-distinct sites (fractional):
Cu1 0.2102 0.0019 0.1420 x4
Sn1 0.4248 0.2500 0.6459 x2
Te1 0.2541 0.7500 0.4103 x2
Te2 0.4752 0.2500 0.1253 x2
Br1 0.0689 0.7500 0.8772 x2

---

(2)
Diffraction record for BaTi6Se12. The powder X-ray diffraction pattern is calculated, not measured: it uses a cell relaxed with PBE and Cu Kα X-rays.

Peak list (6 most intense, 10 to 90 degrees two-theta, sorted by position)
| d (Å) | Rel. int. |
| --- | --- |
| 2.903 | 100 |
| 2.684 | 47 |
| 2.443 | 26 |
| 2.308 | 35 |
| 2.132 | 31 |
| 1.982 | 44 |

Structure:
a b c (Å): 12.7924 12.7924 8.8702
angles (deg): 90.00 90.00 120.00
Space group R-3m (No. 166, hexagonal axes)
Symmetry-distinct sites (fractional):
Ba1 0.0000 0.0000 0.0000 x3
Ti1 0.0762 0.5381 0.2678 x18
Se1 0.0000 0.3801 0.5000 x18
Se2 0.0886 0.1771 0.3344 x18

---

(3)
Diffraction record for Zr2ScCd. The powder X-ray diffraction pattern is calculated, not measured: it uses a cell relaxed with PBE and Cu Kα X-rays.

Peak list (6 most intense, 10 to 90 degrees two-theta, sorted by position)
| d (Å) | Rel. int. |
| --- | --- |
| 2.597 | 100 |
| 2.298 | 35 |
| 2.158 | 14 |
| 1.573 | 20 |
| 1.379 | 13 |
| 1.377 | 12 |

Structure:
a b c (Å): 3.2545 4.3168 6.4924
angles (deg): 90.00 90.00 90.00
Space group Pmm2 (No. 25)
Symmetry-distinct sites (fractional):
Zr1 0.0000 0.0000 0.0000 x1
Zr2 0.5000 0.5000 0.2308 x1
Sc1 0.5000 0.5000 0.7431 x1
Cd1 0.0000 0.0000 0.4966 x1

---

(4)
Diffraction record for Li2Pm2SmSi2. The powder X-ray diffraction pattern is calculated, not measured: it uses a cell relaxed with PBE and Cu Kα X-rays.

Peak list (6 most intense, 10 to 90 degrees two-theta, sorted by position)
| d (Å) | Rel. int. |
| --- | --- |
| 3.845 | 100 |
| 2.768 | 61 |
| 2.580 | 72 |
| 2.242 | 53 |
| 1.692 | 20 |
| 1.423 | 19 |

Structure:
a b c (Å): 4.4831 4.4831 27.6239
angles (deg): 90.00 90.00 120.00
Space group R-3m (No. 166, hexagonal axes)
Symmetry-distinct sites (fractional):
Li1 0.0000 0.0000 0.1027 x6
Pm1 0.0000 0.0000 0.3737 x6
Sm1 0.0000 0.0000 0.5000 x3
Si1 0.0000 0.0000 0.2347 x6

---

(5)
Diffraction record for Li2ZnCu6. The powder X-ray diffraction pattern is calculated, not measured: it uses a cell relaxed with PBE and Cu Kα X-rays.

Peak list (6 most intense, 10 to 90 degrees two-theta, sorted by position)
| d (Å) | Rel. int. |
| --- | --- |
| 3.437 | 15 |
| 2.115 | 100 |
| 1.874 | 17 |
| 1.812 | 30 |
| 1.303 | 18 |
| 1.096 | 21 |

Structure:
a b c (Å): 7.6862 7.6862 3.7488
angles (deg): 90.00 90.00 90.00
Space group P4_2/mnm (No. 136)
Symmetry-distinct sites (fractional):
Li1 0.1719 0.1719 0.0000 x4
Zn1 0.0000 0.0000 0.5000 x2
Cu1 0.0015 0.3365 0.5000 x8
Cu2 0.1652 0.8348 0.0000 x4

---

(6)
Diffraction record for PaCd2GeO6. The powder X-ray diffraction pattern is calculated, not measured: it uses a cell relaxed with PBE and Cu Kα X-rays.

Peak list (6 most intense, 10 to 90 degrees two-theta, sorted by position)
| d (Å) | Rel. int. |
| --- | --- |
| 5.581 | 18 |
| 2.986 | 100 |
| 2.791 | 43 |
| 1.974 | 32 |
| 1.767 | 22 |
| 1.646 | 35 |

Structure:
a b c (Å): 5.5812 5.5812 4.5659
angles (deg): 90.00 90.00 90.00
Space group P4mm (No. 99)
Symmetry-distinct sites (fractional):
Pa1 0.0000 0.0000 0.0000 x1
Cd1 0.0000 0.5000 0.4265 x2
Ge1 0.5000 0.5000 0.9607 x1
O1 0.0000 0.0000 0.5198 x1
O2 0.2684 0.2684 0.0659 x4
O3 0.5000 0.5000 0.5734 x1

---

(7)
Diffraction record for Tl2CdHg5Au. The powder X-ray diffraction pattern is calculated, not measured: it uses a cell relaxed with PBE and Cu Kα X-rays.

Peak list (6 most intense, 10 to 90 degrees two-theta, sorted by position)
| d (Å) | Rel. int. |
| --- | --- |
| 2.888 | 100 |
| 2.591 | 66 |
| 2.347 | 21 |
| 1.832 | 23 |
| 1.740 | 32 |
| 1.547 | 30 |

Structure:
a b c (Å): 7.3278 7.3278 9.3892
angles (deg): 90.00 90.00 90.00
Space group I4mm (No. 107)
Symmetry-distinct sites (fractional):
Tl1 0.0000 0.5000 0.0000 x4
Cd1 0.0000 0.0000 0.0617 x2
Hg1 0.0000 0.0000 0.4723 x2
Hg2 0.2315 0.2315 0.2488 x8
Au1 0.0000 0.0000 0.7740 x2

---

(8)
Diffraction record for Tl2PbCl4. The powder X-ray diffraction pattern is calculated, not measured: it uses a cell relaxed with PBE and Cu Kα X-rays.

Peak list (6 most intense, 10 to 90 degrees two-theta, sorted by position)
| d (Å) | Rel. int. |
| --- | --- |
| 4.187 | 57 |
| 4.136 | 48 |
| 3.932 | 43 |
| 3.866 | 100 |
| 3.163 | 60 |
| 2.575 | 43 |

Structure:
a b c (Å): 4.3579 8.1553 8.3882
angles (deg): 117.57 90.13 105.35
Space group P-1 (No. 2)
Symmetry-distinct sites (fractional):
Tl1 0.2023 0.4021 0.1863 x2
Pb1 0.5000 0.0000 0.5000 x1
Cl1 0.1261 0.2543 0.5022 x2
Cl2 0.3810 0.7637 0.1087 x2

---

(9)
Diffraction record for Er5SnTe4. The powder X-ray diffraction pattern is calculated, not measured: it uses a cell relaxed with PBE and Cu Kα X-rays.

Peak list (6 most intense, 10 to 90 degrees two-theta, sorted by position)
| d (Å) | Rel. int. |
| --- | --- |
| 3.073 | 100 |
| 3.056 | 50 |
| 2.173 | 38 |
| 2.167 | 76 |
| 1.771 | 40 |
| 1.373 | 34 |

Structure:
a b c (Å): 9.7165 9.7165 6.1116
angles (deg): 90.00 90.00 90.00
Space group I4/m (No. 87)
Symmetry-distinct sites (fractional):
Er1 0.0000 0.0000 0.0000 x2
Er2 0.1001 0.7103 0.5000 x8
Sn1 0.0000 0.0000 0.5000 x2
Te1 0.0961 0.6965 0.0000 x8

---

(10)
Diffraction record for K2NaBiI6. The powder X-ray diffraction pattern is calculated, not measured: it uses a cell relaxed with PBE and Cu Kα X-rays.

Peak list (6 most intense, 10 to 90 degrees two-theta, sorted by position)
| d (Å) | Rel. int. |
| --- | --- |
| 7.034 | 30 |
| 6.121 | 47 |
| 3.686 | 100 |
| 3.060 | 40 |
| 2.753 | 46 |
| 2.481 | 29 |

Structure:
a b c (Å): 8.5954 8.5954 21.5086
angles (deg): 90.00 90.00 120.00
Space group R3 (No. 146, hexagonal axes)
Symmetry-distinct sites (fractional):
K1 0.0000 0.0000 0.0000 x3
K2 0.0000 0.0000 0.4908 x3
Na1 0.0000 0.0000 0.2105 x3
Bi1 0.0000 0.0000 0.7033 x3
I1 0.0044 0.4030 0.4498 x9
I2 0.0696 0.7140 0.2828 x9